Theoretical powder diffractogram
Compound: Re8Tc2Pd
Radiation: CuKα
Structure: a DFT-relaxed cell (GGA-PBE, Alexandria)
Intensities are scaled so that the largest is 100.

Principal peaks in the range 10° ≤ 2θ ≤ 90°, by intensity:
41.20 deg, 2.191 Å, intensity 100; 42.33 deg, 2.135 Å, intensity 66; 40.77 deg, 2.213 Å, intensity 63; 43.11 deg, 2.098 Å, intensity 57; 41.60 deg, 2.171 Å, intensity 56; 42.11 deg, 2.146 Å, intensity 44; 40.51 deg, 2.227 Å, intensity 24; 36.08 deg, 2.489 Å, intensity 22

Crystal structure
Cell lengths 4.961, 5.339, 6.995 Å; angles 108.45, 98.00, 97.36 degrees
Sites, in units of the cell vectors:
Re (0.012, 0.427, 0.164)
Re (0.082, 0.063, 0.818)
Re (0.258, 0.865, 0.465)
Re (0.438, 0.112, 0.180)
Re (0.562, 0.888, 0.820)
Re (0.742, 0.135, 0.535)
Re (0.918, 0.937, 0.182)
Re (0.988, 0.573, 0.836)
Tc (0.263, 0.404, 0.547)
Tc (0.737, 0.596, 0.453)
Pd (0.500, 0.500, 0.000)

---

Theoretical powder diffractogram
Compound: Th4RePd
Radiation: CuKα
Structure: a DFT-relaxed cell (GGA-PBE, Alexandria)
Intensities are scaled so that the largest is 100.

Principal peaks in the range 10° ≤ 2θ ≤ 90°, by intensity:
31.21 deg, 2.865 Å, intensity 100; 39.09 deg, 2.304 Å, intensity 33; 38.83 deg, 2.319 Å, intensity 33; 34.53 deg, 2.597 Å, intensity 23; 53.67 deg, 1.708 Å, intensity 23; 62.24 deg, 1.492 Å, intensity 22; 54.08 deg, 1.696 Å, intensity 20; 29.71 deg, 3.007 Å, intensity 11

Crystal structure
Cell lengths 7.287, 7.287, 6.015 Å; angles 90.00, 90.00, 90.00 degrees
Sites, in units of the cell vectors:
Th (0.157, 0.325, 0.000)
Th (0.157, 0.675, 0.500)
Th (0.325, 0.157, 0.500)
Th (0.325, 0.843, 0.000)
Th (0.675, 0.157, 0.000)
Th (0.675, 0.843, 0.500)
Th (0.843, 0.325, 0.500)
Th (0.843, 0.675, 0.000)
Re (0.000, 0.000, 0.250)
Re (0.000, 0.000, 0.750)
Pd (0.500, 0.500, 0.250)
Pd (0.500, 0.500, 0.750)

---

Theoretical powder diffractogram
Compound: Zr4RePd
Radiation: CuKα
Structure: a DFT-relaxed cell (GGA-PBE, Alexandria)
Intensities are scaled so that the largest is 100.

Principal peaks in the range 10° ≤ 2θ ≤ 90°, by intensity:
37.08 deg, 2.425 Å, intensity 100; 37.87 deg, 2.376 Å, intensity 48; 67.87 deg, 1.381 Å, intensity 33; 54.63 deg, 1.680 Å, intensity 16; 66.31 deg, 1.410 Å, intensity 16; 78.98 deg, 1.212 Å, intensity 10; 16.88 deg, 5.253 Å, intensity 9; 52.24 deg, 1.751 Å, intensity 9

Crystal structure
Cell lengths 3.360, 3.360, 10.507 Å; angles 90.00, 90.00, 90.00 degrees
Sites, in units of the cell vectors:
Zr (0.000, 0.000, 0.152)
Zr (0.000, 0.000, 0.848)
Zr (0.500, 0.500, 0.340)
Zr (0.500, 0.500, 0.660)
Re (0.500, 0.500, 0.000)
Pd (0.000, 0.000, 0.500)

---

Theoretical powder diffractogram
Compound: PdRh
Radiation: CuKα
Structure: a DFT-relaxed cell (GGA-PBE, Alexandria)
Intensities are scaled so that the largest is 100.

Principal peaks in the range 10° ≤ 2θ ≤ 90°, by intensity:
42.94 deg, 2.106 Å, intensity 100; 39.12 deg, 2.303 Å, intensity 44; 39.99 deg, 2.255 Å, intensity 36; 82.09 deg, 1.174 Å, intensity 26; 48.78 deg, 1.867 Å, intensity 23; 68.19 deg, 1.375 Å, intensity 22; 74.67 deg, 1.271 Å, intensity 18; 84.06 deg, 1.151 Å, intensity 14

Crystal structure
Cell lengths 2.750, 2.750, 9.018 Å; angles 90.00, 90.00, 120.00 degrees
Sites, in units of the cell vectors:
Pd (0.000, 0.000, 0.000)
Pd (0.333, 0.667, 0.258)
Rh (0.000, 0.000, 0.510)
Rh (0.667, 0.333, 0.748)

---

Theoretical powder diffractogram
Compound: Pd7Rh2
Radiation: CuKα
Structure: a DFT-relaxed cell (GGA-PBE, Alexandria)
Intensities are scaled so that the largest is 100.

Principal peaks in the range 10° ≤ 2θ ≤ 90°, by intensity:
39.79 deg, 2.266 Å, intensity 100; 46.27 deg, 1.962 Å, intensity 48; 67.51 deg, 1.387 Å, intensity 30; 81.31 deg, 1.183 Å, intensity 27; 81.37 deg, 1.183 Å, intensity 9; 85.81 deg, 1.132 Å, intensity 8; 85.67 deg, 1.134 Å, intensity 3

Crystal structure
Cell lengths 4.803, 4.803, 6.804 Å; angles 90.00, 90.00, 120.00 degrees
Sites, in units of the cell vectors:
Pd (0.000, 0.000, 0.000)
Pd (0.000, 0.334, 0.669)
Pd (0.000, 0.666, 0.331)
Pd (0.334, 0.000, 0.669)
Pd (0.334, 0.334, 0.331)
Pd (0.666, 0.000, 0.331)
Pd (0.666, 0.666, 0.669)
Rh (0.333, 0.667, 0.000)
Rh (0.667, 0.333, 0.000)

---

Theoretical powder diffractogram
Compound: Pd7Rh
Radiation: CuKα
Structure: a DFT-relaxed cell (GGA-PBE, Alexandria)
Intensities are scaled so that the largest is 100.

Principal peaks in the range 10° ≤ 2θ ≤ 90°, by intensity:
39.72 deg, 2.269 Å, intensity 100; 46.19 deg, 1.965 Å, intensity 48; 81.17 deg, 1.185 Å, intensity 36; 67.39 deg, 1.390 Å, intensity 30; 85.61 deg, 1.135 Å, intensity 11

Crystal structure
Cell lengths 5.558, 5.558, 5.558 Å; angles 60.00, 60.00, 60.00 degrees
Sites, in units of the cell vectors:
Pd (0.000, 0.000, 0.000)
Pd (0.000, 0.000, 0.500)
Pd (0.000, 0.500, 0.000)
Pd (0.000, 0.500, 0.500)
Pd (0.500, 0.000, 0.000)
Pd (0.500, 0.000, 0.500)
Pd (0.500, 0.500, 0.000)
Rh (0.500, 0.500, 0.500)

---

Theoretical powder diffractogram
Compound: Pd13Rh2
Radiation: CuKα
Structure: a DFT-relaxed cell (GGA-PBE, Alexandria)
Intensities are scaled so that the largest is 100.

Principal peaks in the range 10° ≤ 2θ ≤ 90°, by intensity:
39.66 deg, 2.273 Å, intensity 100; 46.19 deg, 1.966 Å, intensity 32; 45.98 deg, 1.974 Å, intensity 16; 67.19 deg, 1.393 Å, intensity 15; 67.35 deg, 1.390 Å, intensity 15; 81.04 deg, 1.187 Å, intensity 12; 81.18 deg, 1.185 Å, intensity 12; 80.79 deg, 1.190 Å, intensity 9

Crystal structure
Cell lengths 4.822, 6.211, 8.356 Å; angles 102.89, 106.63, 97.31 degrees
Sites, in units of the cell vectors:
Pd (0.000, 0.000, 0.000)
Pd (0.004, 0.002, 0.335)
Pd (0.198, 0.401, 0.599)
Pd (0.200, 0.401, 0.934)
Pd (0.207, 0.403, 0.270)
Pd (0.397, 0.800, 0.864)
Pd (0.403, 0.802, 0.203)
Pd (0.597, 0.198, 0.797)
Pd (0.603, 0.200, 0.136)
Pd (0.793, 0.597, 0.730)
Pd (0.800, 0.599, 0.066)
Pd (0.802, 0.599, 0.401)
Pd (0.996, 0.998, 0.665)
Rh (0.401, 0.805, 0.533)
Rh (0.599, 0.195, 0.467)

---

Theoretical powder diffractogram
Compound: PdRh
Radiation: CuKα
Structure: a DFT-relaxed cell (GGA-PBE, Alexandria)
Intensities are scaled so that the largest is 100.

Principal peaks in the range 10° ≤ 2θ ≤ 90°, by intensity:
41.41 deg, 2.180 Å, intensity 100; 44.68 deg, 2.028 Å, intensity 77; 39.99 deg, 2.254 Å, intensity 51; 82.08 deg, 1.174 Å, intensity 38; 38.36 deg, 2.346 Å, intensity 32; 68.18 deg, 1.375 Å, intensity 31; 71.26 deg, 1.323 Å, intensity 19; 51.08 deg, 1.788 Å, intensity 15

Crystal structure
Cell lengths 9.157, 9.157, 9.157 Å; angles 17.28, 17.28, 17.28 degrees
Sites, in units of the cell vectors:
Pd (0.000, 0.000, 0.000)
Pd (0.419, 0.419, 0.419)
Rh (0.249, 0.249, 0.249)
Rh (0.836, 0.836, 0.836)

---

Theoretical powder diffractogram
Compound: PdRu2Rh4
Radiation: CuKα
Structure: a DFT-relaxed cell (GGA-PBE, Alexandria)
Intensities are scaled so that the largest is 100.

Principal peaks in the range 10° ≤ 2θ ≤ 90°, by intensity:
40.65 deg, 2.219 Å, intensity 100; 47.24 deg, 1.924 Å, intensity 64; 40.46 deg, 2.229 Å, intensity 33; 83.31 deg, 1.160 Å, intensity 24; 69.17 deg, 1.358 Å, intensity 20; 68.90 deg, 1.363 Å, intensity 20; 83.43 deg, 1.158 Å, intensity 12; 83.06 deg, 1.163 Å, intensity 11

Crystal structure
Cell lengths 15.684, 15.684, 15.684 Å; angles 9.94, 9.94, 9.94 degrees
Sites, in units of the cell vectors:
Pd (0.000, 0.000, 0.000)
Ru (0.429, 0.429, 0.429)
Ru (0.571, 0.571, 0.571)
Rh (0.142, 0.142, 0.142)
Rh (0.284, 0.284, 0.284)
Rh (0.716, 0.716, 0.716)
Rh (0.858, 0.858, 0.858)

---

Theoretical powder diffractogram
Compound: TaPdRuRh
Radiation: CuKα
Structure: a DFT-relaxed cell (GGA-PBE, Alexandria)
Intensities are scaled so that the largest is 100.

Principal peaks in the range 10° ≤ 2θ ≤ 90°, by intensity:
39.89 deg, 2.260 Å, intensity 100; 45.13 deg, 2.009 Å, intensity 18; 46.30 deg, 1.961 Å, intensity 16; 47.71 deg, 1.906 Å, intensity 15; 79.72 deg, 1.203 Å, intensity 13; 81.42 deg, 1.182 Å, intensity 12; 83.51 deg, 1.158 Å, intensity 12; 86.02 deg, 1.130 Å, intensity 11

Crystal structure
Cell lengths 3.812, 3.922, 4.018 Å; angles 90.00, 90.00, 90.00 degrees
Sites, in units of the cell vectors:
Ta (0.000, 0.000, 0.000)
Pd (0.000, 0.500, 0.500)
Ru (0.500, 0.500, 0.000)
Rh (0.500, 0.000, 0.500)

---

Theoretical powder diffractogram
Compound: PdRhS
Radiation: CuKα
Structure: a DFT-relaxed cell (GGA-PBE, Alexandria)
Intensities are scaled so that the largest is 100.

Principal peaks in the range 10° ≤ 2θ ≤ 90°, by intensity:
36.47 deg, 2.464 Å, intensity 100; 48.68 deg, 1.870 Å, intensity 36; 62.33 deg, 1.490 Å, intensity 20; 82.84 deg, 1.165 Å, intensity 18; 27.53 deg, 3.240 Å, intensity 16; 56.19 deg, 1.637 Å, intensity 15; 70.73 deg, 1.332 Å, intensity 13; 81.74 deg, 1.178 Å, intensity 7

Crystal structure
Cell lengths 3.741, 3.741, 3.794 Å; angles 90.00, 90.00, 120.00 degrees
Sites, in units of the cell vectors:
Pd (0.000, 0.000, 0.000)
Rh (0.667, 0.333, 0.442)
S (0.333, 0.667, 0.652)

---

Please write out number 5 again, unchanged.
Theoretical powder diffractogram
Compound: Pd7Rh2
Radiation: CuKα
Structure: a DFT-relaxed cell (GGA-PBE, Alexandria)
Intensities are scaled so that the largest is 100.

Principal peaks in the range 10° ≤ 2θ ≤ 90°, by intensity:
39.79 deg, 2.266 Å, intensity 100; 46.27 deg, 1.962 Å, intensity 48; 67.51 deg, 1.387 Å, intensity 30; 81.31 deg, 1.183 Å, intensity 27; 81.37 deg, 1.183 Å, intensity 9; 85.81 deg, 1.132 Å, intensity 8; 85.67 deg, 1.134 Å, intensity 3

Crystal structure
Cell lengths 4.803, 4.803, 6.804 Å; angles 90.00, 90.00, 120.00 degrees
Sites, in units of the cell vectors:
Pd (0.000, 0.000, 0.000)
Pd (0.000, 0.334, 0.669)
Pd (0.000, 0.666, 0.331)
Pd (0.334, 0.000, 0.669)
Pd (0.334, 0.334, 0.331)
Pd (0.666, 0.000, 0.331)
Pd (0.666, 0.666, 0.669)
Rh (0.333, 0.667, 0.000)
Rh (0.667, 0.333, 0.000)